Diffraction record for PmY2Tm6. The XRD peak list is calculated, not measured: it uses DFT lattice parameters and positions (GGA-PBE) and CuKα.

Structure:
a b c (Å): 10.569 10.569 4.993
angles (deg): 90.00 90.00 90.00
Space group P4_2/mnm (No. 136)
Unique sites:
Pm  0.000  0.000  0.000
Y  0.168  0.168  0.500
Tm  0.001  0.335  0.000
Tm  0.168  0.832  0.500

Peak list (10 most intense, 2θ = 15–90°, low angle first)
31.07 deg, d = 2.879 Å, intensity 100, (3 0 1)
36.03 deg, d = 2.493 Å, intensity 51, (3 3 0)
51.87 deg, d = 1.763 Å, intensity 36, (6 0 0)
61.63 deg, d = 1.505 Å, intensity 14, (3 0 3)
61.74 deg, d = 1.503 Å, intensity 28, (6 3 1)
64.77 deg, d = 1.439 Å, intensity 12, (6 0 2)
76.47 deg, d = 1.246 Å, intensity 4, (6 6 0)
84.75 deg, d = 1.144 Å, intensity 18, (9 0 1)
87.38 deg, d = 1.116 Å, intensity 6, (3 3 4)
87.55 deg, d = 1.114 Å, intensity 11, (9 3 0)



Diffraction record for Ni9S10. The XRD peak list is calculated, not measured: it uses DFT lattice parameters and positions (GGA-PBE) and CuKα.

Structure:
a b c (Å): 6.166 6.265 7.531
angles (deg): 104.15 101.54 99.91
Space group P-1 (No. 2)
Unique sites:
Ni  0.000  0.000  0.000
Ni  0.111  0.305  0.601
Ni  0.234  0.528  0.166
Ni  0.318  0.923  0.840
Ni  0.428  0.134  0.400
S  0.040  0.003  0.310
S  0.146  0.589  0.884
S  0.236  0.594  0.477
S  0.357  0.199  0.116
S  0.446  0.200  0.709

Peak list (10 most intense, 2θ = 15–90°, low angle first)
29.20 deg, d = 3.058 Å, intensity 99, (0 2 -1)
30.58 deg, d = 2.924 Å, intensity 100, (1 1 1)
31.13 deg, d = 2.873 Å, intensity 57, (1 -1 2)
43.34 deg, d = 2.088 Å, intensity 74, (-1 1 3)
45.26 deg, d = 2.003 Å, intensity 74, (3 -1 0)
48.82 deg, d = 1.865 Å, intensity 62, (1 1 -4)
49.87 deg, d = 1.828 Å, intensity 63, (3 1 -1)
52.31 deg, d = 1.749 Å, intensity 53, (1 3 0)
53.34 deg, d = 1.718 Å, intensity 58, (1 -3 3)
55.89 deg, d = 1.645 Å, intensity 54, (2 0 3)



Diffraction record for CsFe2AgCl8. The XRD peak list is calculated, not measured: it uses DFT lattice parameters and positions (GGA-PBE) and CuKα.

Structure:
a b c (Å): 10.777 7.425 10.100
angles (deg): 90.00 99.49 90.00
Space group C2/m (No. 12)
Unique sites:
Cs  0.000  0.000  0.000
Fe  0.106  0.500  0.292
Ag  0.000  0.000  0.500
Cl  0.015  0.258  0.705
Cl  0.182  0.500  0.102
Cl  0.250  0.000  0.526

Peak list (10 most intense, 2θ = 15–90°, low angle first)
16.68 deg, d = 5.315 Å, intensity 82, (2 0 0)
17.78 deg, d = 4.987 Å, intensity 43, (1 1 1)
21.97 deg, d = 4.047 Å, intensity 100, (1 1 -2)
23.97 deg, d = 3.713 Å, intensity 53, (0 2 0)
24.13 deg, d = 3.688 Å, intensity 84, (1 1 2)
27.90 deg, d = 3.198 Å, intensity 70, (3 1 0)
30.02 deg, d = 2.977 Å, intensity 57, (0 2 2)
30.90 deg, d = 2.894 Å, intensity 32, (3 1 -2)
36.02 deg, d = 2.493 Å, intensity 45, (0 0 4)
48.09 deg, d = 1.892 Å, intensity 45, (4 2 2)



Diffraction record for SrLi2Rh3O8. The XRD peak list is calculated, not measured: it uses DFT lattice parameters and positions (GGA-PBE) and CuKα.

Structure:
a b c (Å): 6.2720 6.2720 15.8583
angles (deg): 90.00 90.00 120.00
Space group R3m (No. 160, hexagonal axes)
Unique sites:
Sr  0.0000  0.0000  0.0000
Li  0.0000  0.0000  0.3659
Li  0.0000  0.0000  0.7764
Rh  0.1685  0.3370  0.2060
O  0.0000  0.0000  0.1471
O  0.0000  0.0000  0.6063
O  0.0245  0.5123  0.1421
O  0.1925  0.3850  0.9408

Peak list (10 most intense, 2θ = 15–90°, low angle first)
16.77 deg, d = 5.286 Å, intensity 100, (0 0 3)
19.81 deg, d = 4.481 Å, intensity 39, (0 1 2)
27.86 deg, d = 3.202 Å, intensity 39, (1 0 4)
33.22 deg, d = 2.697 Å, intensity 41, (1 1 3)
33.48 deg, d = 2.677 Å, intensity 80, (0 2 1)
34.92 deg, d = 2.569 Å, intensity 24, (2 0 2)
40.25 deg, d = 2.241 Å, intensity 41, (0 2 4)
52.61 deg, d = 1.740 Å, intensity 34, (0 2 7)
57.56 deg, d = 1.601 Å, intensity 27, (2 0 8)
58.90 deg, d = 1.568 Å, intensity 29, (2 2 0)



Diffraction record for VReMo6. The XRD peak list is calculated, not measured: it uses DFT lattice parameters and positions (GGA-PBE) and CuKα.

Structure:
a b c (Å): 6.293 12.518 12.570
angles (deg): 90.00 90.00 90.00
Space group Cmmm (No. 65)
Unique sites:
V  0.000  0.000  0.248
V  0.000  0.251  0.000
Re  0.000  0.251  0.500
Re  0.000  0.500  0.248
Mo  0.000  0.000  0.000
Mo  0.000  0.000  0.500
Mo  0.000  0.250  0.249
Mo  0.000  0.500  0.000
Mo  0.000  0.500  0.500
Mo  0.249  0.124  0.374
Mo  0.249  0.126  0.124

Peak list (10 most intense, 2θ = 15–90°, low angle first)
15.79 deg, d = 5.613 Å, intensity 6, (1 1 0)
21.20 deg, d = 4.190 Å, intensity 4, (0 0 3)
40.62 deg, d = 2.221 Å, intensity 100, (2 4 0)
40.69 deg, d = 2.218 Å, intensity 50, (0 4 4)
58.72 deg, d = 1.572 Å, intensity 16, (4 0 0)
59.03 deg, d = 1.565 Å, intensity 8, (0 8 0)
73.88 deg, d = 1.283 Å, intensity 33, (4 4 4)
74.09 deg, d = 1.280 Å, intensity 16, (2 8 4)
87.80 deg, d = 1.112 Å, intensity 5, (4 0 8)
88.07 deg, d = 1.109 Å, intensity 11, (4 8 0)



Diffraction record for TbPr4Y2. The XRD peak list is calculated, not measured: it uses DFT lattice parameters and positions (GGA-PBE) and CuKα.

Structure:
a b c (Å): 12.132 24.561 6.540
angles (deg): 90.00 90.00 90.00
Space group Fdd2 (No. 43)
Unique sites:
Tb  0.000  0.000  0.000
Pr  0.050  0.429  0.993
Pr  0.067  0.357  0.464
Y  0.025  0.284  0.941

Peak list (10 most intense, 2θ = 15–90°, low angle first)
29.82 deg, d = 2.996 Å, intensity 100, (1 7 1)
30.36 deg, d = 2.944 Å, intensity 36, (4 2 0)
31.07 deg, d = 2.878 Å, intensity 63, (2 0 2)
31.76 deg, d = 2.817 Å, intensity 37, (3 5 1)
31.94 deg, d = 2.802 Å, intensity 28, (2 2 2)
36.59 deg, d = 2.456 Å, intensity 25, (3 7 1)
43.86 deg, d = 2.064 Å, intensity 11, (5 5 1)
49.82 deg, d = 1.830 Å, intensity 21, (1 7 3)
54.46 deg, d = 1.685 Å, intensity 20, (2 14 0)
59.83 deg, d = 1.546 Å, intensity 14, (0 14 2)



Diffraction record for Mg6Zn2Ru. The XRD peak list is calculated, not measured: it uses DFT lattice parameters and positions (GGA-PBE) and CuKα.

Structure:
a b c (Å): 6.843 6.843 8.977
angles (deg): 90.00 90.00 90.00
Space group P4_2/mnm (No. 136)
Unique sites:
Mg  0.227  0.227  0.000
Mg  0.236  0.236  0.342
Zn  0.000  0.000  0.205
Ru  0.000  0.000  0.500

Peak list (10 most intense, 2θ = 15–90°, low angle first)
16.29 deg, d = 5.442 Å, intensity 16, (1 0 1)
18.33 deg, d = 4.839 Å, intensity 100, (1 1 0)
32.66 deg, d = 2.742 Å, intensity 29, (1 0 3)
35.27 deg, d = 2.545 Å, intensity 14, (1 1 3)
37.16 deg, d = 2.420 Å, intensity 42, (2 2 0)
41.74 deg, d = 2.164 Å, intensity 22, (3 1 0)
42.24 deg, d = 2.140 Å, intensity 38, (2 1 3)
50.30 deg, d = 1.814 Å, intensity 15, (3 0 3)
53.56 deg, d = 1.711 Å, intensity 13, (4 0 0)
76.54 deg, d = 1.245 Å, intensity 9, (4 3 3)



Diffraction record for La2B3SbRh12. The XRD peak list is calculated, not measured: it uses DFT lattice parameters and positions (GGA-PBE) and CuKα.

Structure:
a b c (Å): 7.6046 7.6046 17.2434
angles (deg): 90.00 90.00 120.00
Space group R-3m (No. 166, hexagonal axes)
Unique sites:
La  0.0000  0.0000  0.0936
B  0.0000  0.5000  0.0000
Sb  0.0000  0.0000  0.5000
Rh  0.0624  0.5312  0.8797
Rh  0.0731  0.5366  0.3069

Peak list (10 most intense, 2θ = 15–90°, low angle first)
27.58 deg, d = 3.234 Å, intensity 16, (0 2 1)
34.27 deg, d = 2.617 Å, intensity 22, (0 2 4)
37.61 deg, d = 2.392 Å, intensity 82, (1 2 2)
37.77 deg, d = 2.382 Å, intensity 100, (2 0 5)
39.04 deg, d = 2.307 Å, intensity 37, (1 0 7)
44.16 deg, d = 2.051 Å, intensity 30, (0 3 3)
47.85 deg, d = 1.901 Å, intensity 35, (2 2 0)
60.62 deg, d = 1.528 Å, intensity 15, (0 2 10)
72.61 deg, d = 1.302 Å, intensity 15, (5 0 2)
73.54 deg, d = 1.288 Å, intensity 29, (3 2 7)



Diffraction record for Ho2ZnGa4Ni3. The XRD peak list is calculated, not measured: it uses DFT lattice parameters and positions (GGA-PBE) and CuKα.

Structure:
a b c (Å): 4.019 4.019 10.369
angles (deg): 90.00 90.00 90.00
Space group P-4m2 (No. 115)
Unique sites:
Ho  0.000  0.500  0.239
Zn  0.000  0.000  0.500
Ga  0.000  0.000  0.000
Ga  0.000  0.500  0.641
Ga  0.500  0.500  0.000
Ni  0.000  0.500  0.868
Ni  0.500  0.500  0.500

Peak list (10 most intense, 2θ = 15–90°, low angle first)
31.48 deg, d = 2.842 Å, intensity 17, (1 1 0)
34.22 deg, d = 2.620 Å, intensity 59, (1 0 3)
36.04 deg, d = 2.492 Å, intensity 100, (1 1 2)
45.12 deg, d = 2.009 Å, intensity 49, (2 0 0)
49.46 deg, d = 1.843 Å, intensity 30, (1 0 5)
57.83 deg, d = 1.595 Å, intensity 26, (2 1 3)
62.94 deg, d = 1.477 Å, intensity 11, (1 1 6)
65.72 deg, d = 1.421 Å, intensity 15, (2 2 0)
69.17 deg, d = 1.358 Å, intensity 21, (2 1 5)
77.31 deg, d = 1.234 Å, intensity 21, (3 1 2)



Diffraction record for TaFe3Ni12. The XRD peak list is calculated, not measured: it uses DFT lattice parameters and positions (GGA-PBE) and CuKα.

Structure:
a b c (Å): 3.584 3.584 14.288
angles (deg): 90.00 90.00 90.00
Space group P4/mmm (No. 123)
Unique sites:
Ta  0.000  0.000  0.000
Fe  0.000  0.000  0.257
Fe  0.000  0.000  0.500
Ni  0.000  0.500  0.130
Ni  0.000  0.500  0.377
Ni  0.500  0.500  0.000
Ni  0.500  0.500  0.253
Ni  0.500  0.500  0.500

Peak list (10 most intense, 2θ = 15–90°, low angle first)
24.87 deg, d = 3.580 Å, intensity 2, (0 0 4)
25.63 deg, d = 3.476 Å, intensity 4, (1 0 1)
27.85 deg, d = 3.203 Å, intensity 4, (1 0 2)
31.25 deg, d = 2.863 Å, intensity 4, (1 0 3)
40.33 deg, d = 2.236 Å, intensity 4, (1 1 3)
43.80 deg, d = 2.067 Å, intensity 100, (1 1 4)
50.96 deg, d = 1.792 Å, intensity 32, (2 0 0)
51.14 deg, d = 1.786 Å, intensity 15, (0 0 8)
74.95 deg, d = 1.267 Å, intensity 9, (2 2 0)
75.10 deg, d = 1.265 Å, intensity 18, (2 0 8)



Diffraction record for HfOsPt. The XRD peak list is calculated, not measured: it uses DFT lattice parameters and positions (GGA-PBE) and CuKα.

Structure:
a b c (Å): 4.5804 4.5804 5.5113
angles (deg): 90.00 90.00 120.00
Space group P6_3/mmc (No. 194)
Unique sites:
Hf  0.3333  0.6667  0.2500
Os  0.0000  0.0000  0.0000
Pt  0.3333  0.6667  0.7500

Peak list (10 most intense, 2θ = 15–90°, low angle first)
32.49 deg, d = 2.756 Å, intensity 6, (0 0 2)
39.34 deg, d = 2.290 Å, intensity 100, (1 1 0)
39.83 deg, d = 2.263 Å, intensity 86, (1 0 2)
51.91 deg, d = 1.761 Å, intensity 10, (1 1 2)
57.23 deg, d = 1.610 Å, intensity 30, (2 0 2)
68.04 deg, d = 1.378 Å, intensity 7, (0 0 4)
71.33 deg, d = 1.322 Å, intensity 18, (3 0 0)
71.66 deg, d = 1.317 Å, intensity 31, (2 1 2)
81.53 deg, d = 1.181 Å, intensity 25, (1 1 4)
84.63 deg, d = 1.145 Å, intensity 12, (2 2 0)



Diffraction record for PmSi3Tc. The XRD peak list is calculated, not measured: it uses DFT lattice parameters and positions (GGA-PBE) and CuKα.

Structure:
a b c (Å): 5.467 8.577 7.887
angles (deg): 90.00 90.00 90.00
Space group Imma (No. 74)
Unique sites:
Pm  0.000  0.250  0.048
Si  0.000  0.250  0.652
Si  0.250  0.021  0.750
Tc  0.000  0.000  0.500

Peak list (10 most intense, 2θ = 15–90°, low angle first)
22.55 deg, d = 3.943 Å, intensity 21, (0 0 2)
28.78 deg, d = 3.102 Å, intensity 100, (1 2 1)
29.82 deg, d = 2.997 Å, intensity 22, (1 1 2)
32.76 deg, d = 2.733 Å, intensity 17, (2 0 0)
40.14 deg, d = 2.246 Å, intensity 29, (2 0 2)
42.14 deg, d = 2.144 Å, intensity 18, (0 4 0)
43.65 deg, d = 2.074 Å, intensity 30, (1 2 3)
56.06 deg, d = 1.640 Å, intensity 15, (3 2 1)
59.60 deg, d = 1.551 Å, intensity 20, (2 4 2)
66.08 deg, d = 1.414 Å, intensity 9, (3 2 3)